Entry 1:
The following is a theoretical powder X-ray diffraction pattern of LiNiRh3. It was derived from a DFT-relaxed cell (PBE, Alexandria), using Cu Kα X-rays.

Top 10 peaks for 10 to 80 degrees two-theta, in order of rising 2θ:
2θ = 14.5°, rel. 27
2θ = 22.4°, rel. 41
2θ = 23.1°, rel. 41
2θ = 40.5°, rel. 74
2θ = 40.9°, rel. 33
2θ = 41.4°, rel. 23
2θ = 42.0°, rel. 67
2θ = 44.0°, rel. 100
2θ = 44.0°, rel. 62
2θ = 50.7°, rel. 35

Cell and atoms:
```
LiNiRh3
1.0
2.652 0.000 0.000
0.003 6.564 0.000
0.008 2.985 7.685
Li Ni Rh
2 2 6
Cartesian
0.659 0.915 1.857
2.005 8.634 5.828
0.671 5.049 2.815
1.993 4.500 4.870
0.670 6.271 6.447
0.668 2.634 3.589
0.668 5.476 0.341
1.996 4.073 7.344
1.996 6.915 4.096
1.994 3.278 1.238
```



Entry 2:
The following is a theoretical powder X-ray diffraction pattern of Ac9La2Er. It was derived from a DFT-relaxed cell (PBE, Alexandria), using Cu Kα X-rays.

Top 10 peaks for 10 to 80 degrees two-theta, in order of rising 2θ:
2θ = 27.9°, rel. 100
2θ = 32.4°, rel. 51
2θ = 46.4°, rel. 38
2θ = 55.0°, rel. 16
2θ = 55.1°, rel. 31
2θ = 57.7°, rel. 14
2θ = 74.8°, rel. 13
2θ = 74.9°, rel. 6
2θ = 77.0°, rel. 6
2θ = 77.2°, rel. 12

Cell and atoms:
```
Ac9La2Er
1.0
5.527 0.000 0.000
0.000 5.527 0.000
0.000 0.000 16.630
Ac La Er
9 2 1
Cartesian
0.000 0.000 0.000
0.000 0.000 5.512
0.000 0.000 11.118
0.000 2.763 2.718
0.000 2.763 8.315
0.000 2.763 13.911
2.763 0.000 2.718
2.763 0.000 8.315
2.763 0.000 13.911
2.763 2.763 5.510
2.763 2.763 11.119
2.763 2.763 0.000
```



Entry 3:
The following is a theoretical powder X-ray diffraction pattern of Nd2ErHg8. It was derived from a DFT-relaxed cell (PBE, Alexandria), using Cu Kα X-rays.

Top 10 peaks for 10 to 80 degrees two-theta, in order of rising 2θ:
2θ = 33.2°, rel. 79
2θ = 33.8°, rel. 100
2θ = 35.4°, rel. 46
2θ = 36.9°, rel. 14
2θ = 38.6°, rel. 26
2θ = 42.3°, rel. 19
2θ = 53.4°, rel. 21
2θ = 56.3°, rel. 17
2θ = 62.1°, rel. 13
2θ = 62.5°, rel. 17

Cell and atoms:
```
Nd2ErHg8
1.0
8.021 -2.536 0.000
8.021 2.536 0.000
-2.470 0.000 6.831
Nd Er Hg
2 1 8
Cartesian
2.985 0.000 1.074
10.588 0.000 5.758
6.787 0.000 3.416
-0.267 0.000 1.568
0.797 0.000 4.526
3.870 0.000 4.162
6.375 0.000 0.378
7.198 0.000 6.454
9.703 0.000 2.669
12.776 0.000 2.305
13.840 0.000 5.263
```